Diffraction record for BaZr2NpO8. The powder X-ray diffraction pattern is simulated, not measured: it uses a cell relaxed with GGA-PBE and Cu Kα (λ = 1.5418 Å).

Atomic structure:
```
data_BaZr2NpO8
_symmetry_space_group_name_H-M 'P 1'
_symmetry_Int_Tables_number 1
_cell_length_a 5.314
_cell_length_b 5.314
_cell_length_c 7.598
_cell_angle_alpha 98.60
_cell_angle_beta 98.60
_cell_angle_gamma 79.04
loop_
_symmetry_equiv_pos_as_xyz
'x,y,z'
loop_
_atom_site_label
_atom_site_type_symbol
_atom_site_fract_x
_atom_site_fract_y
_atom_site_fract_z
Ba1 Ba 0.000 0.000 0.000
Zr1 Zr 0.450 0.450 0.782
Zr2 Zr 0.550 0.550 0.218
Np1 Np 0.000 0.000 0.500
O1 O 0.219 0.778 0.706
O2 O 0.222 0.781 0.294
O3 O 0.241 0.241 0.562
O4 O 0.340 0.340 0.995
O5 O 0.660 0.660 0.005
O6 O 0.759 0.759 0.438
O7 O 0.778 0.219 0.706
O8 O 0.781 0.222 0.294
```

Top 10 peaks for 5 to 70 degrees two-theta, by intensity:
2θ (°)  d/Å  I/Imax
22.10  4.022  100
27.70  3.221  94
31.27  2.860  69
26.36  3.381  66
47.37  1.919  53
19.62  4.524  46
17.13  5.176  36
34.66  2.588  34
49.72  1.834  29
35.86  2.504  28